Starting from a crystal structure in Alexandria, relaxed with PBE, the X-ray diffraction stick pattern of TbPr2RuN4 was calculated for λ = 1.5418 Å (Cu Kα).

Main lines, most intense first (2θ = 10–80°):
2θ/deg, intensity
37.34, 100
30.54, 92
29.84, 61
29.18, 43
26.43, 42
42.22, 30
62.38, 25
46.00, 22

Structural model:
```
data_TbPr2RuN4
_chemical_formula_sum 'Tb2 Pr4 Ru2 N8'
_space_group_name_H-M_alt 'P 1'
_space_group_IT_number 1
_space_group_name_Hall 'P 1'
_cell_length_a 6.2354
_cell_length_b 6.2354
_cell_length_c 12.2413
_cell_angle_alpha 90.00
_cell_angle_beta 90.00
_cell_angle_gamma 147.68
loop_
_atom_site_label
_atom_site_type_symbol
_atom_site_fract_x
_atom_site_fract_y
_atom_site_fract_z
Tb1 Tb 0.1282 0.8718 0.7500
Tb2 Tb 0.8718 0.1282 0.2500
Pr1 Pr 0.3675 0.6325 0.5427
Pr2 Pr 0.3675 0.6325 0.9573
Pr3 Pr 0.6325 0.3675 0.0427
Pr4 Pr 0.6325 0.3675 0.4573
Ru1 Ru 0.1443 0.8557 0.2500
Ru2 Ru 0.8557 0.1443 0.7500
N1 N 0.0000 0.0000 0.0000
N2 N 0.0000 0.0000 0.5000
N3 N 0.2750 0.7250 0.1399
N4 N 0.2750 0.7250 0.3601
N5 N 0.4359 0.5641 0.7500
N6 N 0.5641 0.4359 0.2500
N7 N 0.7250 0.2750 0.6399
N8 N 0.7250 0.2750 0.8601
```

---

Starting from a crystal structure in Alexandria, relaxed with PBE, the X-ray diffraction stick pattern of Na2Zn5AgPt2 was calculated for λ = 1.5418 Å (Cu Kα).

Main lines, most intense first (2θ = 10–80°):
2θ/deg, intensity
37.66, 100
20.10, 92
40.97, 55
44.06, 21
49.18, 19
31.51, 19
53.64, 14
52.39, 13

Structural model:
```
data_Na2Zn5AgPt2
_chemical_formula_sum 'Na4 Zn10 Ag2 Pt4'
_space_group_name_H-M_alt 'P 1'
_space_group_IT_number 1
_space_group_name_Hall 'P 1'
_cell_length_a 9.8792
_cell_length_b 9.8792
_cell_length_c 3.7055
_cell_angle_alpha 90.00
_cell_angle_beta 90.00
_cell_angle_gamma 90.00
loop_
_atom_site_label
_atom_site_type_symbol
_atom_site_fract_x
_atom_site_fract_y
_atom_site_fract_z
Na1 Na 0.1719 0.3281 0.0000
Na2 Na 0.3281 0.8281 0.0000
Na3 Na 0.6719 0.1719 0.0000
Na4 Na 0.8281 0.6719 0.0000
Zn1 Zn 0.0000 0.5000 0.5000
Zn2 Zn 0.0658 0.8000 0.5000
Zn3 Zn 0.2000 0.0658 0.5000
Zn4 Zn 0.3000 0.5658 0.5000
Zn5 Zn 0.4342 0.3000 0.5000
Zn6 Zn 0.5000 0.0000 0.5000
Zn7 Zn 0.5658 0.7000 0.5000
Zn8 Zn 0.7000 0.4342 0.5000
Zn9 Zn 0.8000 0.9342 0.5000
Zn10 Zn 0.9342 0.2000 0.5000
Ag1 Ag 0.0000 0.0000 0.0000
Ag2 Ag 0.5000 0.5000 0.0000
Pt1 Pt 0.1260 0.6260 0.0000
Pt2 Pt 0.3740 0.1260 0.0000
Pt3 Pt 0.6260 0.8740 0.0000
Pt4 Pt 0.8740 0.3740 0.0000
```

---

Starting from a crystal structure in Alexandria, relaxed with PBE, the X-ray diffraction stick pattern of Hf2Ga4Mo was calculated for λ = 1.5418 Å (Cu Kα).

Main lines, most intense first (2θ = 10–80°):
2θ/deg, intensity
38.89, 100
22.41, 24
31.37, 21
44.15, 17
45.68, 16
45.81, 16
77.68, 13
79.88, 12

Structural model:
```
data_Hf2Ga4Mo
_chemical_formula_sum 'Hf2 Ga4 Mo1'
_space_group_name_H-M_alt 'P 1'
_space_group_IT_number 1
_space_group_name_Hall 'P 1'
_cell_length_a 5.7108
_cell_length_b 5.7030
_cell_length_c 5.6099
_cell_angle_alpha 60.63
_cell_angle_beta 60.49
_cell_angle_gamma 58.88
loop_
_atom_site_label
_atom_site_type_symbol
_atom_site_fract_x
_atom_site_fract_y
_atom_site_fract_z
Hf1 Hf 0.0000 0.0000 0.5000
Hf2 Hf 0.5000 0.5000 0.0000
Ga1 Ga 0.0000 0.5000 0.0000
Ga2 Ga 0.0000 0.5000 0.5000
Ga3 Ga 0.5000 0.0000 0.0000
Ga4 Ga 0.5000 0.0000 0.5000
Mo1 Mo 0.0000 0.0000 0.0000
```

---

Starting from a crystal structure in Alexandria, relaxed with PBE, the X-ray diffraction stick pattern of CaTl2VCl6 was calculated for λ = 1.5418 Å (Cu Kα).

Main lines, most intense first (2θ = 10–80°):
2θ/deg, intensity
24.47, 100
34.89, 70
17.24, 52
29.97, 34
24.67, 26
42.93, 24
24.34, 21
30.19, 20

Structural model:
```
data_CaTl2VCl6
_chemical_formula_sum 'Ca2 Tl4 V2 Cl12'
_space_group_name_H-M_alt 'P 1'
_space_group_IT_number 1
_space_group_name_Hall 'P 1'
_cell_length_a 7.2170
_cell_length_b 7.3140
_cell_length_c 12.5573
_cell_angle_alpha 90.00
_cell_angle_beta 124.88
_cell_angle_gamma 90.00
loop_
_atom_site_label
_atom_site_type_symbol
_atom_site_fract_x
_atom_site_fract_y
_atom_site_fract_z
Ca1 Ca 0.0000 0.0000 0.0000
Ca2 Ca 0.0000 0.5000 0.5000
Tl1 Tl 0.2624 0.0477 0.7516
Tl2 Tl 0.2624 0.4523 0.2516
Tl3 Tl 0.7376 0.5477 0.7484
Tl4 Tl 0.7376 0.9523 0.2484
V1 V 0.5000 0.0000 0.5000
V2 V 0.5000 0.5000 0.0000
Cl1 Cl 0.1981 0.0078 0.2619
Cl2 Cl 0.1981 0.4922 0.7619
Cl3 Cl 0.2548 0.6999 0.0321
Cl4 Cl 0.2548 0.8001 0.5321
Cl5 Cl 0.3341 0.2231 0.0323
Cl6 Cl 0.3341 0.2769 0.5323
Cl7 Cl 0.6659 0.7231 0.4677
Cl8 Cl 0.6659 0.7769 0.9677
Cl9 Cl 0.7452 0.1999 0.4679
Cl10 Cl 0.7452 0.3001 0.9679
Cl11 Cl 0.8019 0.5078 0.2381
Cl12 Cl 0.8019 0.9922 0.7381
```

---

Starting from a crystal structure in Alexandria, relaxed with PBE, the X-ray diffraction stick pattern of CsKRb3O was calculated for λ = 1.5418 Å (Cu Kα).

Main lines, most intense first (2θ = 10–80°):
2θ/deg, intensity
19.34, 100
21.94, 79
22.31, 70
24.21, 70
17.66, 60
12.92, 60
11.10, 55
26.01, 51

Structural model:
```
data_CsKRb3O
_chemical_formula_sum 'Cs2 K2 Rb6 O2'
_space_group_name_H-M_alt 'P 1'
_space_group_IT_number 1
_space_group_name_Hall 'P 1'
_cell_length_a 14.3333
_cell_length_b 14.3333
_cell_length_c 7.6933
_cell_angle_alpha 92.08
_cell_angle_beta 92.08
_cell_angle_gamma 145.94
loop_
_atom_site_label
_atom_site_type_symbol
_atom_site_fract_x
_atom_site_fract_y
_atom_site_fract_z
Cs1 Cs 0.2476 0.7524 0.7500
Cs2 Cs 0.7524 0.2476 0.2500
K1 K 0.3572 0.6428 0.2500
K2 K 0.6428 0.3572 0.7500
Rb1 Rb 0.1214 0.8786 0.2500
Rb2 Rb 0.1919 0.2169 0.5039
Rb3 Rb 0.2169 0.1919 0.0039
Rb4 Rb 0.7831 0.8081 0.9961
Rb5 Rb 0.8081 0.7831 0.4961
Rb6 Rb 0.8786 0.1214 0.7500
O1 O 0.0284 0.9716 0.2500
O2 O 0.9716 0.0284 0.7500
```

---

Starting from a crystal structure in Alexandria, relaxed with PBE, the X-ray diffraction stick pattern of CsRbGa2Bi2 was calculated for λ = 1.5418 Å (Cu Kα).

Main lines, most intense first (2θ = 10–80°):
2θ/deg, intensity
25.57, 100
35.81, 51
47.85, 44
21.84, 32
15.20, 25
30.67, 25
44.52, 23
58.40, 20

Structural model:
```
data_CsRbGa2Bi2
_chemical_formula_sum 'Cs1 Rb1 Ga2 Bi2'
_space_group_name_H-M_alt 'P 1'
_space_group_IT_number 1
_space_group_name_Hall 'P 1'
_cell_length_a 5.0155
_cell_length_b 5.0155
_cell_length_c 11.6610
_cell_angle_alpha 90.00
_cell_angle_beta 90.00
_cell_angle_gamma 120.00
loop_
_atom_site_label
_atom_site_type_symbol
_atom_site_fract_x
_atom_site_fract_y
_atom_site_fract_z
Cs1 Cs 0.0000 0.0000 0.0000
Rb1 Rb 0.0000 0.0000 0.5000
Ga1 Ga 0.3333 0.6667 0.7478
Ga2 Ga 0.6667 0.3333 0.2522
Bi1 Bi 0.3333 0.6667 0.2598
Bi2 Bi 0.6667 0.3333 0.7402
```

---

Starting from a crystal structure in Alexandria, relaxed with PBE, the X-ray diffraction stick pattern of TaNb4Rh7 was calculated for λ = 1.5418 Å (Cu Kα).

Main lines, most intense first (2θ = 10–80°):
2θ/deg, intensity
38.18, 100
40.81, 79
36.68, 62
34.89, 45
53.98, 42
38.31, 38
44.64, 36
55.20, 30

Structural model:
```
data_TaNb4Rh7
_chemical_formula_sum 'Ta1 Nb4 Rh7'
_space_group_name_H-M_alt 'P 1'
_space_group_IT_number 1
_space_group_name_Hall 'P 1'
_cell_length_a 5.7889
_cell_length_b 5.7889
_cell_length_c 9.4093
_cell_angle_alpha 116.56
_cell_angle_beta 116.56
_cell_angle_gamma 48.06
loop_
_atom_site_label
_atom_site_type_symbol
_atom_site_fract_x
_atom_site_fract_y
_atom_site_fract_z
Ta1 Ta 0.0000 0.0000 0.0000
Nb1 Nb 0.2573 0.2573 0.6705
Nb2 Nb 0.4099 0.4099 0.2292
Nb3 Nb 0.5901 0.5901 0.7708
Nb4 Nb 0.7427 0.7427 0.3295
Rh1 Rh 0.0670 0.0670 0.3304
Rh2 Rh 0.2149 0.2149 0.9110
Rh3 Rh 0.3587 0.3587 0.4611
Rh4 Rh 0.5000 0.5000 0.0000
Rh5 Rh 0.6413 0.6413 0.5389
Rh6 Rh 0.7851 0.7851 0.0890
Rh7 Rh 0.9330 0.9330 0.6696
```

---

Starting from a crystal structure in Alexandria, relaxed with PBE, the X-ray diffraction stick pattern of Na3CuBAsO7 was calculated for λ = 1.5418 Å (Cu Kα).

Main lines, most intense first (2θ = 10–80°):
2θ/deg, intensity
25.81, 100
32.38, 79
34.05, 65
25.53, 46
19.22, 43
32.62, 40
29.44, 39
32.73, 36

Structural model:
```
data_Na3CuBAsO7
_chemical_formula_sum 'Na6 Cu2 B2 As2 O14'
_space_group_name_H-M_alt 'P 1'
_space_group_IT_number 1
_space_group_name_Hall 'P 1'
_cell_length_a 5.2693
_cell_length_b 6.9045
_cell_length_c 9.0562
_cell_angle_alpha 90.00
_cell_angle_beta 91.88
_cell_angle_gamma 90.00
loop_
_atom_site_label
_atom_site_type_symbol
_atom_site_fract_x
_atom_site_fract_y
_atom_site_fract_z
Na1 Na 0.2359 0.2500 0.0785
Na2 Na 0.2503 0.5025 0.7466
Na3 Na 0.2503 0.9975 0.7466
Na4 Na 0.7497 0.0025 0.2534
Na5 Na 0.7497 0.4975 0.2534
Na6 Na 0.7641 0.7500 0.9215
Cu1 Cu 0.2182 0.7500 0.3320
Cu2 Cu 0.7818 0.2500 0.6680
B1 B 0.2751 0.7500 0.0656
B2 B 0.7249 0.2500 0.9344
As1 As 0.2854 0.2500 0.4228
As2 As 0.7146 0.7500 0.5772
O1 O 0.0401 0.7500 0.1317
O2 O 0.1324 0.2500 0.5864
O3 O 0.2111 0.0582 0.3066
O4 O 0.2111 0.4418 0.3066
O5 O 0.3060 0.7500 0.9186
O6 O 0.3899 0.7500 0.5350
O7 O 0.4736 0.7500 0.1711
O8 O 0.5264 0.2500 0.8289
O9 O 0.6101 0.2500 0.4650
O10 O 0.6940 0.2500 0.0814
O11 O 0.7889 0.5582 0.6934
O12 O 0.7889 0.9418 0.6934
O13 O 0.8676 0.7500 0.4136
O14 O 0.9599 0.2500 0.8683
```

---

Starting from a crystal structure in Alexandria, relaxed with PBE, the X-ray diffraction stick pattern of AcHgPt was calculated for λ = 1.5418 Å (Cu Kα).

Main lines, most intense first (2θ = 10–80°):
2θ/deg, intensity
30.41, 100
43.01, 95
34.59, 72
29.74, 65
29.62, 63
46.71, 63
33.39, 27
33.50, 25

Structural model:
```
data_AcHgPt
_chemical_formula_sum 'Ac2 Hg2 Pt2'
_space_group_name_H-M_alt 'P 1'
_space_group_IT_number 1
_space_group_name_Hall 'P 1'
_cell_length_a 5.1866
_cell_length_b 5.8793
_cell_length_c 6.1104
_cell_angle_alpha 90.00
_cell_angle_beta 114.87
_cell_angle_gamma 90.00
loop_
_atom_site_label
_atom_site_type_symbol
_atom_site_fract_x
_atom_site_fract_y
_atom_site_fract_z
Ac1 Ac 0.1418 0.2500 0.2885
Ac2 Ac 0.8582 0.7500 0.7115
Hg1 Hg 0.4378 0.2500 0.8791
Hg2 Hg 0.5622 0.7500 0.1209
Pt1 Pt 0.1616 0.7500 0.3211
Pt2 Pt 0.8384 0.2500 0.6789
```

---

Starting from a crystal structure in Alexandria, relaxed with PBE, the X-ray diffraction stick pattern of Y6ZnHg5 was calculated for λ = 1.5418 Å (Cu Kα).

Main lines, most intense first (2θ = 10–80°):
2θ/deg, intensity
34.19, 100
61.26, 22
34.30, 20
61.13, 15
24.00, 15
49.08, 14
61.42, 7
49.28, 7

Structural model:
```
data_Y6ZnHg5
_chemical_formula_sum 'Y6 Zn1 Hg5'
_space_group_name_H-M_alt 'P 1'
_space_group_IT_number 1
_space_group_name_Hall 'P 1'
_cell_length_a 5.2295
_cell_length_b 7.4226
_cell_length_c 8.2900
_cell_angle_alpha 90.00
_cell_angle_beta 108.16
_cell_angle_gamma 90.00
loop_
_atom_site_label
_atom_site_type_symbol
_atom_site_fract_x
_atom_site_fract_y
_atom_site_fract_z
Y1 Y 0.0000 0.2452 0.0000
Y2 Y 0.0000 0.7548 0.0000
Y3 Y 0.3359 0.2466 0.6707
Y4 Y 0.3359 0.7534 0.6707
Y5 Y 0.6641 0.2466 0.3293
Y6 Y 0.6641 0.7534 0.3293
Zn1 Zn 0.5000 0.0000 0.0000
Hg1 Hg 0.1628 0.0000 0.3270
Hg2 Hg 0.1657 0.5000 0.3330
Hg3 Hg 0.5000 0.5000 0.0000
Hg4 Hg 0.8343 0.5000 0.6670
Hg5 Hg 0.8372 0.0000 0.6730
```

---

Starting from a crystal structure in Alexandria, relaxed with PBE, the X-ray diffraction stick pattern of Na3AsS4 was calculated for λ = 1.5418 Å (Cu Kα).

Main lines, most intense first (2θ = 10–80°):
2θ/deg, intensity
12.85, 100
36.90, 26
18.21, 20
39.22, 19
47.58, 18
22.35, 17
31.81, 14
28.98, 9

Structural model:
```
data_Na3AsS4
_chemical_formula_sum 'Na3 As1 S4'
_space_group_name_H-M_alt 'P 1'
_space_group_IT_number 1
_space_group_name_Hall 'P 1'
_cell_length_a 6.8905
_cell_length_b 6.8905
_cell_length_c 6.8905
_cell_angle_alpha 90.00
_cell_angle_beta 90.00
_cell_angle_gamma 90.00
loop_
_atom_site_label
_atom_site_type_symbol
_atom_site_fract_x
_atom_site_fract_y
_atom_site_fract_z
Na1 Na 0.0000 0.0000 0.5000
Na2 Na 0.0000 0.5000 0.0000
Na3 Na 0.5000 0.0000 0.0000
As1 As 0.0000 0.0000 0.0000
S1 S 0.1842 0.1842 0.1842
S2 S 0.1842 0.8158 0.8158
S3 S 0.8158 0.1842 0.8158
S4 S 0.8158 0.8158 0.1842
```

---

Starting from a crystal structure in Alexandria, relaxed with PBE, the X-ray diffraction stick pattern of TlZnGa was calculated for λ = 1.5418 Å (Cu Kα).

Main lines, most intense first (2θ = 10–80°):
2θ/deg, intensity
29.07, 100
33.78, 98
36.50, 93
37.07, 80
23.92, 78
27.33, 73
30.93, 68
31.19, 65

Structural model:
```
data_TlZnGa
_chemical_formula_sum 'Tl2 Zn2 Ga2'
_space_group_name_H-M_alt 'P 1'
_space_group_IT_number 1
_space_group_name_Hall 'P 1'
_cell_length_a 3.4289
_cell_length_b 4.4338
_cell_length_c 10.0438
_cell_angle_alpha 89.75
_cell_angle_beta 80.47
_cell_angle_gamma 68.49
loop_
_atom_site_label
_atom_site_type_symbol
_atom_site_fract_x
_atom_site_fract_y
_atom_site_fract_z
Tl1 Tl 0.0000 0.0000 0.0000
Tl2 Tl 0.4228 0.4106 0.7401
Zn1 Zn 0.4099 0.9055 0.3045
Zn2 Zn 0.6267 0.3474 0.4178
Ga1 Ga 0.1824 0.4610 0.1971
Ga2 Ga 0.8497 0.7980 0.5343
```

---

Starting from a crystal structure in Alexandria, relaxed with PBE, the X-ray diffraction stick pattern of YHo2Tm5Th was calculated for λ = 1.5418 Å (Cu Kα).

Main lines, most intense first (2θ = 10–80°):
2θ/deg, intensity
31.80, 100
28.88, 53
29.21, 47
32.37, 24
43.12, 23
53.04, 21
37.58, 20
59.47, 13

Structural model:
```
data_YHo2Tm5Th
_chemical_formula_sum 'Y2 Ho4 Tm10 Th2'
_space_group_name_H-M_alt 'P 1'
_space_group_IT_number 1
_space_group_name_Hall 'P 1'
_cell_length_a 9.6083
_cell_length_b 9.6083
_cell_length_c 9.6083
_cell_angle_alpha 125.86
_cell_angle_beta 125.86
_cell_angle_gamma 80.12
loop_
_atom_site_label
_atom_site_type_symbol
_atom_site_fract_x
_atom_site_fract_y
_atom_site_fract_z
Y1 Y 0.2500 0.7500 0.5000
Y2 Y 0.7500 0.2500 0.5000
Ho1 Ho 0.1133 0.6133 0.7266
Ho2 Ho 0.3867 0.1133 0.5000
Ho3 Ho 0.6133 0.8867 0.5000
Ho4 Ho 0.8867 0.3867 0.2734
Tm1 Tm 0.0000 0.0000 0.0000
Tm2 Tm 0.0739 0.1559 0.5000
Tm3 Tm 0.1559 0.6559 0.0820
Tm4 Tm 0.3441 0.4261 0.5000
Tm5 Tm 0.4261 0.9261 0.0820
Tm6 Tm 0.5000 0.5000 0.0000
Tm7 Tm 0.5739 0.0739 0.9180
Tm8 Tm 0.6559 0.5739 0.5000
Tm9 Tm 0.8441 0.3441 0.9180
Tm10 Tm 0.9261 0.8441 0.5000
Th1 Th 0.2500 0.2500 0.0000
Th2 Th 0.7500 0.7500 0.0000
```